# 1
Starting from the GGA-PBE geometry in Alexandria, the powder X-ray diffraction pattern of Mg3Pt was calculated for Cu Kα (λ = 1.5418 Å).
Lines closer than 0.1° are merged.

Top 10 peaks for 15° ≤ 2θ ≤ 90°, by intensity:
- 2θ 23.9, d 3.718, I 100
- 2θ 42.1, d 2.146, I 80
- 2θ 66.5, d 1.405, I 41
- 2θ 34.1, d 2.629, I 35
- 2θ 55.3, d 1.663, I 21
- 2θ 49.0, d 1.859, I 15
- 2θ 76.9, d 1.239, I 13
- 2θ 82.0, d 1.176, I 12
- 2θ 86.9, d 1.121, I 10
- 2θ 71.8, d 1.314, I 6

Structural model:
Lattice parameters (Å, degrees): 5.258 5.258 5.258 90.00 90.00 90.00
Element x y z (fractional)
Mg 0.000 0.250 0.500
Mg 0.000 0.750 0.500
Mg 0.250 0.500 0.000
Mg 0.500 0.000 0.250
Mg 0.500 0.000 0.750
Mg 0.750 0.500 0.000
Pt 0.000 0.000 0.000
Pt 0.500 0.500 0.500

---

# 2
Starting from the GGA-PBE geometry in Alexandria, the powder X-ray diffraction pattern of MgPt5 was calculated for Cu Kα (λ = 1.5418 Å).
Lines closer than 0.1° are merged.

Top 10 peaks for 15° ≤ 2θ ≤ 90°, by intensity:
- 2θ 39.3, d 2.294, I 100
- 2θ 45.7, d 1.983, I 33
- 2θ 80.2, d 1.196, I 26
- 2θ 66.5, d 1.406, I 21
- 2θ 45.5, d 1.992, I 16
- 2θ 79.9, d 1.201, I 13
- 2θ 84.5, d 1.147, I 11
- 2θ 66.7, d 1.402, I 11
- 2θ 32.8, d 2.731, I 5
- 2θ 35.3, d 2.539, I 5

Structural model:
Lattice parameters (Å, degrees): 2.805 2.805 11.955 90.00 90.00 90.00
Element x y z (fractional)
Mg 0.000 0.000 0.000
Pt 0.000 0.000 0.334
Pt 0.000 0.000 0.666
Pt 0.500 0.500 0.162
Pt 0.500 0.500 0.500
Pt 0.500 0.500 0.838

---

# 3
Starting from the GGA-PBE geometry in Alexandria, the powder X-ray diffraction pattern of Mg5Pt3 was calculated for Cu Kα (λ = 1.5418 Å).
Lines closer than 0.1° are merged.

Top 10 peaks for 15° ≤ 2θ ≤ 90°, by intensity:
- 2θ 28.1, d 3.174, I 100
- 2θ 38.8, d 2.321, I 49
- 2θ 51.3, d 1.781, I 37
- 2θ 22.6, d 3.929, I 33
- 2θ 40.6, d 2.221, I 31
- 2θ 39.7, d 2.268, I 30
- 2θ 33.3, d 2.693, I 28
- 2θ 26.2, d 3.402, I 19
- 2θ 76.1, d 1.251, I 18
- 2θ 42.8, d 2.112, I 16

Structural model:
Lattice parameters (Å, degrees): 7.858 7.858 5.387 90.00 90.00 120.00
Element x y z (fractional)
Mg 0.000 0.258 0.250
Mg 0.000 0.742 0.750
Mg 0.258 0.000 0.250
Mg 0.258 0.258 0.750
Mg 0.333 0.667 0.000
Mg 0.333 0.667 0.500
Mg 0.667 0.333 0.000
Mg 0.667 0.333 0.500
Mg 0.742 0.000 0.750
Mg 0.742 0.742 0.250
Pt 0.000 0.391 0.750
Pt 0.000 0.609 0.250
Pt 0.391 0.000 0.750
Pt 0.391 0.391 0.250
Pt 0.609 0.000 0.250
Pt 0.609 0.609 0.750

---

# 4
Starting from the GGA-PBE geometry in Alexandria, the powder X-ray diffraction pattern of PuMg4Pt2 was calculated for Cu Kα (λ = 1.5418 Å).
Lines closer than 0.1° are merged.

Top 10 peaks for 15° ≤ 2θ ≤ 90°, by intensity:
- 2θ 32.5, d 2.757, I 100
- 2θ 38.8, d 2.319, I 70
- 2θ 23.2, d 3.837, I 49
- 2θ 26.9, d 3.319, I 44
- 2θ 29.4, d 3.033, I 37
- 2θ 43.5, d 2.081, I 27
- 2θ 62.9, d 1.478, I 24
- 2θ 44.8, d 2.022, I 23
- 2θ 37.3, d 2.409, I 21
- 2θ 66.0, d 1.416, I 20

Structural model:
Lattice parameters (Å, degrees): 8.580 8.580 3.965 90.00 90.00 90.00
Element x y z (fractional)
Pu 0.000 0.000 0.000
Pu 0.500 0.500 0.500
Mg 0.095 0.332 0.500
Mg 0.168 0.595 0.000
Mg 0.332 0.095 0.500
Mg 0.405 0.832 0.000
Mg 0.595 0.168 0.000
Mg 0.668 0.905 0.500
Mg 0.832 0.405 0.000
Mg 0.905 0.668 0.500
Pt 0.185 0.815 0.500
Pt 0.315 0.315 0.000
Pt 0.685 0.685 0.000
Pt 0.815 0.185 0.500

---

# 5
Starting from the GGA-PBE geometry in Alexandria, the powder X-ray diffraction pattern of MgRe2Pt was calculated for Cu Kα (λ = 1.5418 Å).
Lines closer than 0.1° are merged.

Top 10 peaks for 15° ≤ 2θ ≤ 90°, by intensity:
- 2θ 39.6, d 2.278, I 100
- 2θ 47.0, d 1.934, I 57
- 2θ 39.8, d 2.263, I 49
- 2θ 38.7, d 2.325, I 43
- 2θ 43.5, d 2.082, I 35
- 2θ 17.7, d 5.014, I 25
- 2θ 19.6, d 4.527, I 25
- 2θ 66.7, d 1.403, I 22
- 2θ 24.7, d 3.600, I 19
- 2θ 65.2, d 1.431, I 16

Structural model:
Lattice parameters (Å, degrees): 4.764 4.764 5.057 97.14 97.14 33.20
Element x y z (fractional)
Mg 0.000 0.000 0.000
Re 0.518 0.518 0.493
Re 0.763 0.763 0.309
Pt 0.250 0.250 0.812

---

# 6
Starting from the GGA-PBE geometry in Alexandria, the powder X-ray diffraction pattern of MgPtRh2 was calculated for Cu Kα (λ = 1.5418 Å).
Lines closer than 0.1° are merged.

Top 10 peaks for 15° ≤ 2θ ≤ 90°, by intensity:
- 2θ 39.9, d 2.257, I 100
- 2θ 40.1, d 2.249, I 99
- 2θ 45.9, d 1.975, I 67
- 2θ 68.4, d 1.372, I 40
- 2θ 47.7, d 1.906, I 30
- 2θ 23.3, d 3.812, I 30
- 2θ 80.9, d 1.189, I 25
- 2θ 81.1, d 1.185, I 25
- 2θ 83.6, d 1.157, I 23
- 2θ 19.7, d 4.499, I 22

Structural model:
Lattice parameters (Å, degrees): 5.490 5.490 5.490 118.65 92.05 119.00
Element x y z (fractional)
Mg 0.500 0.000 0.000
Mg 0.500 0.500 0.500
Pt 0.000 0.000 0.000
Pt 0.500 0.000 0.500
Rh 0.000 0.000 0.500
Rh 0.000 0.500 0.000
Rh 0.000 0.500 0.500
Rh 0.500 0.500 0.000

---

# 7
Starting from the GGA-PBE geometry in Alexandria, the powder X-ray diffraction pattern of MgPt14Rh was calculated for Cu Kα (λ = 1.5418 Å).
Lines closer than 0.1° are merged.

Top 10 peaks for 15° ≤ 2θ ≤ 90°, by intensity:
- 2θ 42.2, d 2.140, I 100
- 2θ 38.8, d 2.321, I 35
- 2θ 38.6, d 2.335, I 34
- 2θ 67.2, d 1.393, I 21
- 2θ 72.6, d 1.302, I 20
- 2θ 47.8, d 1.902, I 18
- 2θ 80.4, d 1.194, I 17
- 2θ 37.3, d 2.412, I 12
- 2θ 80.4, d 1.195, I 10
- 2θ 82.6, d 1.168, I 10

Structural model:
Lattice parameters (Å, degrees): 9.282 5.569 5.569 60.09 90.00 90.00
Element x y z (fractional)
Mg 0.000 0.000 0.000
Pt 0.000 0.001 0.500
Pt 0.000 0.500 0.001
Pt 0.245 0.333 0.832
Pt 0.245 0.832 0.333
Pt 0.247 0.334 0.334
Pt 0.247 0.834 0.834
Pt 0.500 0.165 0.165
Pt 0.500 0.165 0.666
Pt 0.500 0.665 0.665
Pt 0.500 0.666 0.165
Pt 0.753 0.334 0.334
Pt 0.753 0.834 0.834
Pt 0.755 0.333 0.832
Pt 0.755 0.832 0.333
Rh 0.000 0.499 0.499

---

# 8
Starting from the GGA-PBE geometry in Alexandria, the powder X-ray diffraction pattern of MgPtS was calculated for Cu Kα (λ = 1.5418 Å).
Lines closer than 0.1° are merged.

Top 10 peaks for 15° ≤ 2θ ≤ 90°, by intensity:
- 2θ 22.3, d 3.990, I 100
- 2θ 36.6, d 2.453, I 77
- 2θ 43.8, d 2.068, I 76
- 2θ 33.2, d 2.700, I 48
- 2θ 56.1, d 1.641, I 21
- 2θ 53.6, d 1.711, I 19
- 2θ 26.2, d 3.399, I 15
- 2θ 48.0, d 1.894, I 14
- 2θ 42.5, d 2.125, I 12
- 2θ 47.2, d 1.925, I 11

Structural model:
Lattice parameters (Å, degrees): 4.131 3.788 7.969 90.00 104.96 90.00
Element x y z (fractional)
Mg 0.077 0.250 0.158
Mg 0.923 0.750 0.842
Pt 0.439 0.250 0.876
Pt 0.561 0.750 0.124
S 0.338 0.750 0.673
S 0.662 0.250 0.327

---

# 9
Starting from the GGA-PBE geometry in Alexandria, the powder X-ray diffraction pattern of MgPtS was calculated for Cu Kα (λ = 1.5418 Å).
Lines closer than 0.1° are merged.

Top 10 peaks for 15° ≤ 2θ ≤ 90°, by intensity:
- 2θ 22.5, d 3.960, I 100
- 2θ 43.4, d 2.083, I 60
- 2θ 32.9, d 2.725, I 57
- 2θ 36.7, d 2.451, I 46
- 2θ 45.9, d 1.978, I 23
- 2θ 56.2, d 1.636, I 21
- 2θ 54.0, d 1.699, I 19
- 2θ 26.2, d 3.396, I 16
- 2θ 44.3, d 2.045, I 15
- 2θ 68.9, d 1.363, I 14

Structural model:
Lattice parameters (Å, degrees): 4.090 3.761 8.166 90.00 104.50 90.00
Element x y z (fractional)
Mg 0.000 0.000 0.000
Mg 0.287 0.500 0.569
Pt 0.677 0.500 0.351
Pt 0.797 0.000 0.589
S 0.583 0.000 0.165
S 0.898 0.500 0.796

---

# 10
Starting from the GGA-PBE geometry in Alexandria, the powder X-ray diffraction pattern of MgPtS was calculated for Cu Kα (λ = 1.5418 Å).
Lines closer than 0.1° are merged.

Top 10 peaks for 15° ≤ 2θ ≤ 90°, by intensity:
- 2θ 16.5, d 5.385, I 100
- 2θ 23.7, d 3.752, I 87
- 2θ 33.0, d 2.718, I 72
- 2θ 40.4, d 2.234, I 63
- 2θ 15.7, d 5.638, I 57
- 2θ 41.6, d 2.170, I 46
- 2θ 29.5, d 3.029, I 32
- 2θ 43.8, d 2.069, I 31
- 2θ 42.9, d 2.110, I 21
- 2θ 48.5, d 1.877, I 20

Structural model:
Lattice parameters (Å, degrees): 5.401 3.664 5.655 90.00 94.43 90.00
Element x y z (fractional)
Mg 0.224 0.250 0.347
Mg 0.776 0.750 0.653
Pt 0.107 0.250 0.873
Pt 0.893 0.750 0.127
S 0.305 0.750 0.676
S 0.695 0.250 0.324

---

# 11
Starting from the GGA-PBE geometry in Alexandria, the powder X-ray diffraction pattern of Mg3SbPt12 was calculated for Cu Kα (λ = 1.5418 Å).
Lines closer than 0.1° are merged.

Top 10 peaks for 15° ≤ 2θ ≤ 90°, by intensity:
- 2θ 39.1, d 2.304, I 100
- 2θ 45.6, d 1.990, I 33
- 2θ 79.9, d 1.201, I 26
- 2θ 66.1, d 1.413, I 21
- 2θ 45.2, d 2.006, I 16
- 2θ 79.3, d 1.208, I 12
- 2θ 84.0, d 1.152, I 11
- 2θ 66.4, d 1.407, I 11
- 2θ 22.3, d 3.980, I 11
- 2θ 31.7, d 2.826, I 9

Structural model:
Lattice parameters (Å, degrees): 3.980 3.980 16.052 90.00 90.00 90.00
Element x y z (fractional)
Mg 0.000 0.000 0.000
Mg 0.000 0.000 0.244
Mg 0.000 0.000 0.756
Sb 0.000 0.000 0.500
Pt 0.000 0.500 0.123
Pt 0.000 0.500 0.368
Pt 0.000 0.500 0.632
Pt 0.000 0.500 0.877
Pt 0.500 0.000 0.123
Pt 0.500 0.000 0.368
Pt 0.500 0.000 0.632
Pt 0.500 0.000 0.877
Pt 0.500 0.500 0.000
Pt 0.500 0.500 0.246
Pt 0.500 0.500 0.500
Pt 0.500 0.500 0.754

---

# 12
Starting from the GGA-PBE geometry in Alexandria, the powder X-ray diffraction pattern of Mg2SbPt9 was calculated for Cu Kα (λ = 1.5418 Å).
Lines closer than 0.1° are merged.

Top 10 peaks for 15° ≤ 2θ ≤ 90°, by intensity:
- 2θ 39.0, d 2.310, I 100
- 2θ 45.5, d 1.995, I 33
- 2θ 79.6, d 1.204, I 26
- 2θ 66.0, d 1.416, I 21
- 2θ 45.1, d 2.010, I 16
- 2θ 79.1, d 1.210, I 12
- 2θ 83.8, d 1.155, I 11
- 2θ 66.2, d 1.411, I 11
- 2θ 22.3, d 3.991, I 9
- 2θ 31.6, d 2.832, I 8

Structural model:
Lattice parameters (Å, degrees): 3.991 3.991 12.060 90.00 90.00 90.00
Element x y z (fractional)
Mg 0.000 0.000 0.160
Mg 0.000 0.000 0.840
Sb 0.000 0.000 0.500
Pt 0.000 0.500 0.000
Pt 0.000 0.500 0.325
Pt 0.000 0.500 0.675
Pt 0.500 0.000 0.000
Pt 0.500 0.000 0.325
Pt 0.500 0.000 0.675
Pt 0.500 0.500 0.163
Pt 0.500 0.500 0.500
Pt 0.500 0.500 0.837